Structure and theoretical PXRD pattern of SnSbTe (a crystal structure in Alexandria, relaxed with PBE; Cu Kα, 1.54184 Å).
Kinematic intensities with the Lorentz-polarization factor, no thermal factor.

Most intense lines, 2θ from 5° to 70°, most intense first:
| 2θ (°) | d (Å) | Rel. int. |
| --- | --- | --- |
| 28.5 | 3.127 | 100.0 |
| 40.8 | 2.212 | 51.0 |
| 49.6 | 1.837 | 14.3 |
| 39.7 | 2.268 | 13.6 |
| 51.5 | 1.775 | 13.1 |
| 66.8 | 1.400 | 11.9 |
| 41.9 | 2.154 | 11.8 |
| 66.9 | 1.398 | 11.7 |
| 59.1 | 1.562 | 8.5 |
| 65.4 | 1.427 | 6.2 |

Structural model:
a = 13.609 Å, b = 4.309 Å, c = 6.266 Å
α = 90.00°, β = 90.00°, γ = 90.00°
Space group C2/m (No. 12)
Symmetry-distinct sites (fractional):
Sn (0.170, 0.000, 0.251) (multiplicity 4)
Sb (0.170, 0.000, 0.751) (multiplicity 4)
Te (0.003, 0.500, 0.250) (multiplicity 4)

---

Structure and theoretical PXRD pattern of SnSbTe3 (a crystal structure in Alexandria, relaxed with PBE; Cu Kα, 1.54184 Å).
Kinematic intensities with the Lorentz-polarization factor, no thermal factor.

Most intense lines, 2θ from 5° to 70°, most intense first:
| 2θ (°) | d (Å) | Rel. int. |
| --- | --- | --- |
| 26.5 | 3.365 | 100.0 |
| 34.4 | 2.604 | 80.7 |
| 40.9 | 2.205 | 52.3 |
| 15.8 | 5.623 | 29.7 |
| 45.0 | 2.016 | 20.9 |
| 31.8 | 2.811 | 17.9 |
| 54.5 | 1.682 | 17.5 |
| 49.4 | 1.844 | 13.2 |
| 21.4 | 4.154 | 12.4 |
| 39.8 | 2.264 | 11.9 |

Structural model:
a = 7.6368 Å, b = 7.6368 Å, c = 21.3574 Å
α = 90.00°, β = 90.00°, γ = 120.00°
Space group R-3 (No. 148, hexagonal axes)
Symmetry-distinct sites (fractional):
Sn (0.0000, 0.0000, 0.1461) (multiplicity 6)
Sb (0.0000, 0.0000, 0.3290) (multiplicity 6)
Te (0.0076, 0.3734, 0.9104) (multiplicity 18)